# 1
The following is a computed powder diffractogram of CsNpBr2F8. It was derived from a structure optimized by DFT (GGA-PBE), using a wavelength of 1.5418 Å.

```
data_CsNpBr2F8
_chemical_formula_sum 'Cs1 Np1 Br2 F8'
_cell_length_a 6.8275
_cell_length_b 6.8275
_cell_length_c 7.9483
_cell_angle_alpha 90.00
_cell_angle_beta 90.00
_cell_angle_gamma 120.00
_space_group_name_H-M_alt 'P -3 m 1'
_space_group_IT_number 164
_space_group_name_Hall '-P 3 2"'
loop_
_atom_site_label
_atom_site_fract_x
_atom_site_fract_y
_atom_site_fract_z
_atom_site_occupancy
Cs1 0.0000 0.0000 0.0000 1
Np1 0.0000 0.0000 0.5000 1
Br1 0.3333 0.6667 0.3615 1
F1 0.1387 0.2774 0.6613 1
F2 0.3333 0.6667 0.1338 1
```

Main lines, by angle (2θ from 15° to 90°):
| 2θ/deg | I/Imax | hkl |
| --- | --- | --- |
| 18.70 | 32 | 1 0 1 |
| 26.10 | 100 | 1 1 0 |
| 27.03 | 85 | 1 0 2 |
| 34.64 | 39 | 1 1 2 |
| 37.93 | 50 | 0 2 2 |
| 46.04 | 28 | 3 0 0 |
| 46.63 | 45 | 2 1 2 |
| 48.32 | 24 | 0 1 4 |
| 53.69 | 27 | 2 2 0 |
| 62.55 | 26 | 1 2 4 |

# 2
The following is a computed powder diffractogram of PuCu2Te2. It was derived from a structure optimized by DFT (GGA-PBE), using a wavelength of 1.5418 Å.

```
data_PuCu2Te2
_chemical_formula_sum 'Pu4 Cu8 Te8'
_cell_length_a 9.1725
_cell_length_b 10.8857
_cell_length_c 6.6093
_cell_angle_alpha 90.00
_cell_angle_beta 133.88
_cell_angle_gamma 90.00
_space_group_name_H-M_alt 'C 1 2/c 1'
_space_group_IT_number 15
loop_
_space_group_symop_operation_xyz
'x,y,z'
'-x,-y,-z'
'-x,y,-z+1/2'
'x,-y,z+1/2'
'x+1/2,y+1/2,z'
'-x+1/2,-y+1/2,-z'
'-x+1/2,y+1/2,-z+1/2'
'x+1/2,-y+1/2,z+1/2'
loop_
_atom_site_label
_atom_site_fract_x
_atom_site_fract_y
_atom_site_fract_z
_atom_site_occupancy
Pu1 0.0000 0.1262 0.2500 1
Cu1 0.1419 0.3733 0.7484 1
Te1 0.0000 0.1600 0.7500 1
Te2 0.0000 0.4125 0.2500 1
```

Main lines, by angle (2θ from 15° to 90°):
| 2θ/deg | I/Imax | hkl |
| --- | --- | --- |
| 26.99 | 100 | 2 0 0 |
| 28.05 | 41 | 1 3 0 |
| 31.82 | 30 | 3 1 -1 |
| 32.91 | 41 | 0 4 0 |
| 37.77 | 39 | 0 0 2 |
| 39.69 | 47 | 3 3 -2 |
| 43.06 | 36 | 2 4 0 |
| 48.34 | 27 | 3 3 0 |
| 50.95 | 24 | 0 4 2 |
| 63.97 | 22 | 6 0 -4 |